No. 1
Theoretical powder diffraction line list
Compound: KTeP2
Radiation: copper Kα
Structure: a crystal structure in the Materials Project, relaxed with PBE

Most intense lines, 2θ = 10–90°, in order of rising 2θ:
2θ = 18.2°, I = 100; 2θ = 26.4°, I = 98; 2θ = 26.9°, I = 75; 2θ = 29.2°, I = 63; 2θ = 29.6°, I = 87; 2θ = 33.5°, I = 71

Atomic structure:
Lattice parameters (Å, degrees): 7.145 6.633 10.160 90.00 90.09 90.00
Fractional coordinates of all 16 atoms:
K1 0.026 0.250 0.111
K2 0.223 0.250 0.494
K3 0.777 0.750 0.506
K4 0.974 0.750 0.889
Te1 0.157 0.750 0.234
Te2 0.295 0.750 0.603
Te3 0.705 0.250 0.397
Te4 0.843 0.250 0.766
P1 0.393 0.006 0.920
P2 0.393 0.494 0.920
P3 0.493 0.250 0.201
P4 0.494 0.250 0.786
P5 0.506 0.750 0.214
P6 0.507 0.750 0.799
P7 0.607 0.506 0.080
P8 0.607 0.994 0.080

=====

No. 2
Theoretical powder diffraction line list
Compound: DyP2Ru2
Radiation: copper Kα
Structure: a crystal structure in the Materials Project, relaxed with PBE

Most intense lines, 2θ = 10–90°, in order of rising 2θ:
2θ = 23.8°, I = 29; 2θ = 35.8°, I = 32; 2θ = 36.5°, I = 100; 2θ = 44.7°, I = 38; 2θ = 59.8°, I = 17; 2θ = 77.0°, I = 22

Atomic structure:
Lattice parameters (Å, degrees): 5.576 5.576 5.576 137.36 137.36 61.89
Fractional coordinates of all 5 atoms:
Dy1 0.000 0.000 0.000
P1 0.375 0.375 0.000
P2 0.625 0.625 0.000
Ru1 0.250 0.750 0.500
Ru2 0.750 0.250 0.500

=====

No. 3
Theoretical powder diffraction line list
Compound: Eu4Ti3O10
Radiation: copper Kα
Structure: a crystal structure in the Materials Project, relaxed with PBE

Most intense lines, 2θ = 10–90°, in order of rising 2θ:
2θ = 22.8°, I = 26; 2θ = 31.9°, I = 100; 2θ = 32.1°, I = 64; 2θ = 41.5°, I = 34; 2θ = 46.1°, I = 39; 2θ = 57.2°, I = 39

Atomic structure:
Lattice parameters (Å, degrees): 14.238 14.238 14.238 164.10 164.10 22.56
Fractional coordinates of all 17 atoms:
Eu1 0.068 0.068 0.000
Eu2 0.202 0.202 0.000
Eu3 0.798 0.798 0.000
Eu4 0.932 0.932 0.000
Ti1 0.359 0.359 0.000
Ti2 0.500 0.500 0.000
Ti3 0.641 0.641 0.000
O1 0.000 0.500 0.500
O2 0.140 0.640 0.500
O3 0.288 0.288 0.000
O4 0.360 0.860 0.500
O5 0.430 0.430 0.000
O6 0.500 0.000 0.500
O7 0.570 0.570 0.000
O8 0.640 0.140 0.500
O9 0.712 0.712 0.000
O10 0.860 0.360 0.500

=====

No. 4
Theoretical powder diffraction line list
Compound: Cu2As2PbO10
Radiation: copper Kα
Structure: a crystal structure in the Materials Project, relaxed with PBE

Most intense lines, 2θ = 10–90°, in order of rising 2θ:
2θ = 18.8°, I = 100; 2θ = 19.1°, I = 44; 2θ = 26.3°, I = 97; 2θ = 30.1°, I = 59; 2θ = 31.8°, I = 60; 2θ = 32.5°, I = 62

Atomic structure:
Lattice parameters (Å, degrees): 5.579 5.579 8.165 113.98 113.98 66.52
Fractional coordinates of all 15 atoms:
Cu1 0.000 0.500 0.000
Cu2 0.500 0.000 0.000
As1 0.076 0.076 0.280
As2 0.924 0.924 0.720
Pb1 0.500 0.500 0.500
O1 0.178 0.178 0.151
O2 0.189 0.719 0.230
O3 0.215 0.215 0.510
O4 0.281 0.811 0.770
O5 0.317 0.317 0.938
O6 0.683 0.683 0.062
O7 0.719 0.189 0.230
O8 0.785 0.785 0.490
O9 0.811 0.281 0.770
O10 0.822 0.822 0.849

=====

No. 5
Theoretical powder diffraction line list
Compound: Sr4Li2Si4N8O
Radiation: copper Kα
Structure: a crystal structure in the Materials Project, relaxed with PBE

Most intense lines, 2θ = 10–90°, in order of rising 2θ:
2θ = 26.5°, I = 32; 2θ = 26.9°, I = 48; 2θ = 31.9°, I = 52; 2θ = 32.8°, I = 41; 2θ = 34.2°, I = 100; 2θ = 42.2°, I = 40

Atomic structure:
Lattice parameters (Å, degrees): 9.374 9.374 5.609 90.00 90.00 90.00
Fractional coordinates of all 38 atoms:
Sr1 0.055 0.265 0.000
Sr2 0.235 0.445 0.500
Sr3 0.265 0.945 0.000
Sr4 0.445 0.765 0.500
Sr5 0.555 0.235 0.500
Sr6 0.735 0.055 0.000
Sr7 0.765 0.555 0.500
Sr8 0.945 0.735 0.000
Li1 0.000 0.000 0.317
Li2 0.000 0.000 0.683
Li3 0.500 0.500 0.183
Li4 0.500 0.500 0.817
Si1 0.120 0.769 0.500
Si2 0.231 0.120 0.500
Si3 0.269 0.620 0.000
Si4 0.380 0.269 0.000
Si5 0.620 0.731 0.000
Si6 0.731 0.380 0.000
Si7 0.769 0.880 0.500
Si8 0.880 0.231 0.500
N1 0.063 0.205 0.500
N2 0.174 0.674 0.250
N3 0.174 0.674 0.750
N4 0.205 0.937 0.500
N5 0.295 0.437 0.000
N6 0.326 0.174 0.250
N7 0.326 0.174 0.750
N8 0.437 0.705 0.000
N9 0.563 0.295 0.000
N10 0.674 0.826 0.250
N11 0.674 0.826 0.750
N12 0.705 0.563 0.000
N13 0.795 0.063 0.500
N14 0.826 0.326 0.250
N15 0.826 0.326 0.750
N16 0.937 0.795 0.500
O1 0.000 0.000 0.000
O2 0.500 0.500 0.500

=====

No. 6
Theoretical powder diffraction line list
Compound: YGa5Co
Radiation: copper Kα
Structure: a crystal structure in the Materials Project, relaxed with PBE

Most intense lines, 2θ = 10–90°, in order of rising 2θ:
2θ = 32.6°, I = 42; 2θ = 40.0°, I = 100; 2θ = 42.7°, I = 59; 2θ = 59.6°, I = 22; 2θ = 61.9°, I = 19; 2θ = 76.3°, I = 28

Atomic structure:
Lattice parameters (Å, degrees): 4.237 4.237 6.833 90.00 90.00 90.00
Fractional coordinates of all 7 atoms:
Y1 0.000 0.000 0.000
Ga1 0.000 0.500 0.311
Ga2 0.000 0.500 0.689
Ga3 0.500 0.000 0.311
Ga4 0.500 0.000 0.689
Ga5 0.500 0.500 0.000
Co1 0.000 0.000 0.500

=====

No. 7
Theoretical powder diffraction line list
Compound: LaSi2Ag
Radiation: copper Kα
Structure: a crystal structure in the Materials Project, relaxed with PBE

Most intense lines, 2θ = 10–90°, in order of rising 2θ:
2θ = 10.0°, I = 17; 2θ = 30.4°, I = 16; 2θ = 32.6°, I = 19; 2θ = 33.0°, I = 100; 2θ = 41.4°, I = 21; 2θ = 42.2°, I = 17

Atomic structure:
Lattice parameters (Å, degrees): 9.095 9.095 4.284 90.00 90.00 152.25
Fractional coordinates of all 8 atoms:
La1 0.098 0.902 0.750
La2 0.902 0.098 0.250
Si1 0.334 0.666 0.750
Si2 0.467 0.533 0.750
Si3 0.533 0.467 0.250
Si4 0.666 0.334 0.250
Ag1 0.248 0.752 0.250
Ag2 0.752 0.248 0.750

=====

No. 8
Theoretical powder diffraction line list
Compound: BiBPbS4
Radiation: copper Kα
Structure: a crystal structure in the Materials Project, relaxed with PBE

Most intense lines, 2θ = 10–90°, in order of rising 2θ:
2θ = 20.7°, I = 100; 2θ = 21.0°, I = 35; 2θ = 24.3°, I = 37; 2θ = 28.5°, I = 33; 2θ = 29.9°, I = 33; 2θ = 35.4°, I = 33

Atomic structure:
Lattice parameters (Å, degrees): 6.138 6.322 9.407 90.00 107.66 90.00
Fractional coordinates of all 14 atoms:
Bi1 0.185 0.000 0.350
Bi2 0.815 0.500 0.650
B1 0.341 0.499 0.304
B2 0.659 0.999 0.696
Pb1 0.234 0.059 0.944
Pb2 0.766 0.559 0.056
S1 0.070 0.498 0.347
S2 0.106 0.493 0.917
S3 0.486 0.256 0.286
S4 0.488 0.742 0.289
S5 0.512 0.242 0.711
S6 0.514 0.756 0.714
S7 0.894 0.993 0.083
S8 0.930 0.998 0.653

=====

No. 9
Theoretical powder diffraction line list
Compound: TaGeRh
Radiation: copper Kα
Structure: a crystal structure in the Materials Project, relaxed with PBE

Most intense lines, 2θ = 10–90°, in order of rising 2θ:
2θ = 36.1°, I = 100; 2θ = 38.2°, I = 83; 2θ = 38.6°, I = 33; 2θ = 43.1°, I = 24; 2θ = 43.7°, I = 18; 2θ = 46.9°, I = 33

Atomic structure:
Lattice parameters (Å, degrees): 6.473 3.872 7.497 90.00 90.00 90.00
Fractional coordinates of all 12 atoms:
Ta1 0.028 0.250 0.179
Ta2 0.472 0.750 0.679
Ta3 0.528 0.250 0.321
Ta4 0.972 0.750 0.821
Ge1 0.241 0.750 0.376
Ge2 0.259 0.250 0.876
Ge3 0.741 0.750 0.124
Ge4 0.759 0.250 0.624
Rh1 0.145 0.250 0.563
Rh2 0.355 0.750 0.063
Rh3 0.645 0.250 0.937
Rh4 0.855 0.750 0.437

=====

Repeat the second record exactly.
Theoretical powder diffraction line list
Compound: DyP2Ru2
Radiation: copper Kα
Structure: a crystal structure in the Materials Project, relaxed with PBE

Most intense lines, 2θ = 10–90°, in order of rising 2θ:
2θ = 23.8°, I = 29; 2θ = 35.8°, I = 32; 2θ = 36.5°, I = 100; 2θ = 44.7°, I = 38; 2θ = 59.8°, I = 17; 2θ = 77.0°, I = 22

Atomic structure:
Lattice parameters (Å, degrees): 5.576 5.576 5.576 137.36 137.36 61.89
Fractional coordinates of all 5 atoms:
Dy1 0.000 0.000 0.000
P1 0.375 0.375 0.000
P2 0.625 0.625 0.000
Ru1 0.250 0.750 0.500
Ru2 0.750 0.250 0.500